Entry 1:
# MgZn
Calculated powder diffraction line list, Cu Kα. Input: DFT lattice parameters and positions (GGA-PBE).
Neutral-atom scattering factors, no anomalous dispersion.

Crystal structure
Lattice parameters (Å, degrees): 4.8003 3.0499 15.1758 90.00 90.00 90.00
Space group Amm2 (No. 38)
Inequivalent atoms, fractional coordinates:
Mg1 0.0000 0.0000 0.0000
Mg2 0.0000 0.0000 0.3252
Mg3 0.5000 0.0000 0.5590
Zn1 0.0000 0.0000 0.6650
Zn2 0.5000 0.0000 0.2219
Zn3 0.5000 0.0000 0.8852

Main lines, by intensity (2θ = 10–80°):
2θ 39.27, intensity 100, hkl 1 1 3; 2θ 40.30, intensity 48, hkl 1 0 6; 2θ 37.47, intensity 38, hkl 2 0 0; 2θ 11.66, intensity 29, hkl 0 0 2; 2θ 34.33, intensity 27, hkl 0 1 3; 2θ 51.74, intensity 21, hkl 2 1 3; 2θ 21.91, intensity 18, hkl 1 0 2; 2θ 75.65, intensity 18, hkl 2 1 9; 2θ 68.81, intensity 17, hkl 3 1 3; 2θ 62.99, intensity 15, hkl 0 1 9

Entry 2:
# CuAs
Calculated powder diffraction line list, Cu Kα. Input: DFT lattice parameters and positions (GGA-PBE).
Neutral-atom scattering factors, no anomalous dispersion.

Crystal structure
Lattice parameters (Å, degrees): 12.3731 4.1620 7.4833 90.00 123.52 90.00
Space group C2/m (No. 12)
Inequivalent atoms, fractional coordinates:
Cu1 0.0000 0.0000 0.0000
Cu2 0.1091 0.0000 0.7855
Cu3 0.2451 0.5000 0.7587
As1 0.0000 0.5000 0.5000
As2 0.1297 0.5000 0.9964
As3 0.1579 0.0000 0.4653

Main lines, by intensity (2θ = 10–80°):
2θ 42.32, intensity 100, hkl 3 1 -3; 2θ 43.49, intensity 28, hkl 0 2 0; 2θ 43.90, intensity 17, hkl 6 0 -2; 2θ 79.02, intensity 16, hkl 3 3 -3; 2θ 42.78, intensity 13, hkl 5 1 -2; 2θ 63.52, intensity 12, hkl 6 2 -2; 2θ 43.65, intensity 10, hkl 5 1 -1; 2θ 32.98, intensity 9, hkl 1 1 -2; 2θ 59.25, intensity 8, hkl 0 0 4; 2θ 30.50, intensity 8, hkl 3 1 -1

Entry 3:
# MgFe10N8
Calculated powder diffraction line list, Cu Kα. Input: DFT lattice parameters and positions (GGA-PBE).
Neutral-atom scattering factors, no anomalous dispersion.

Crystal structure
Lattice parameters (Å, degrees): 17.1765 3.1981 7.6972 90.00 114.33 90.00
Space group C2/m (No. 12)
Inequivalent atoms, fractional coordinates:
Mg1 0.0000 0.0000 0.0000
Fe1 0.0038 0.5000 0.3274
Fe2 0.0987 0.0000 0.6086
Fe3 0.1520 0.5000 0.2974
Fe4 0.1731 0.0000 0.9761
Fe5 0.2282 0.5000 0.6858
N1 0.0518 0.0000 0.7883
N2 0.1176 0.5000 0.4911
N3 0.1501 0.0000 0.1937
N4 0.2037 0.5000 0.8876

Main lines, by intensity (2θ = 10–80°):
2θ 38.49, intensity 100, hkl 0 0 3; 2θ 32.57, intensity 61, hkl 3 1 -1; 2θ 56.34, intensity 39, hkl 5 1 -4; 2θ 57.65, intensity 29, hkl 0 2 0; 2θ 46.38, intensity 29, hkl 3 1 2; 2θ 42.64, intensity 27, hkl 8 0 -2; 2θ 13.03, intensity 27, hkl 2 0 -1; 2θ 36.86, intensity 23, hkl 1 1 -2; 2θ 53.57, intensity 19, hkl 8 0 1; 2θ 12.62, intensity 19, hkl 0 0 1

Entry 4:
# PuCl2
Calculated powder diffraction line list, Cu Kα. Input: DFT lattice parameters and positions (GGA-PBE).
Neutral-atom scattering factors, no anomalous dispersion.

Crystal structure
Lattice parameters (Å, degrees): 6.8369 6.8369 4.0606 90.00 90.00 90.00
Space group P4_2/mnm (No. 136)
Inequivalent atoms, fractional coordinates:
Pu1 0.0000 0.0000 0.0000
Cl1 0.2049 0.2049 0.5000

Main lines, by intensity (2θ = 10–80°):
2θ 18.35, intensity 100, hkl 1 1 0; 2θ 36.80, intensity 79, hkl 2 1 1; 2θ 25.51, intensity 72, hkl 1 0 1; 2θ 45.65, intensity 28, hkl 3 0 1; 2θ 37.20, intensity 25, hkl 2 2 0; 2θ 26.07, intensity 22, hkl 2 0 0; 2θ 41.78, intensity 22, hkl 3 1 0; 2θ 53.32, intensity 17, hkl 3 2 1; 2θ 48.64, intensity 17, hkl 1 1 2; 2θ 60.29, intensity 16, hkl 4 1 1

Entry 5:
# Mg6Cu16Si7
Calculated powder diffraction line list, Cu Kα. Input: DFT lattice parameters and positions (GGA-PBE).
Neutral-atom scattering factors, no anomalous dispersion.

Crystal structure
Lattice parameters (Å, degrees): 11.6706 11.6706 11.6706 90.00 90.00 90.00
Space group Fm-3m (No. 225)
Inequivalent atoms, fractional coordinates:
Mg1 0.0000 0.0000 0.2021
Cu1 0.1199 0.1199 0.3801
Cu2 0.1671 0.1671 0.1671
Si1 0.0000 0.0000 0.5000
Si2 0.0000 0.2500 0.2500

Main lines, by intensity (2θ = 10–80°):
2θ 43.88, intensity 100, hkl 4 4 0; 2θ 40.15, intensity 66, hkl 3 3 3; 2θ 46.01, intensity 46, hkl 5 3 1; 2θ 30.64, intensity 37, hkl 4 0 0; 2θ 15.18, intensity 36, hkl 2 0 0; 2θ 13.14, intensity 25, hkl 1 1 1; 2θ 51.34, intensity 22, hkl 5 3 3; 2θ 74.00, intensity 16, hkl 9 1 1; 2θ 78.12, intensity 15, hkl 9 3 1; 2θ 46.70, intensity 13, hkl 6 0 0

Entry 6:
# SbI5F6
Calculated powder diffraction line list, Cu Kα. Input: DFT lattice parameters and positions (GGA-PBE).
Neutral-atom scattering factors, no anomalous dispersion.

Crystal structure
Lattice parameters (Å, degrees): 8.6911 8.8624 15.8000 101.58 92.60 111.68
Space group P-1 (No. 2)
Inequivalent atoms, fractional coordinates:
Sb1 0.0000 0.0000 0.0000
Sb2 0.4830 0.1437 0.3468
I1 0.0000 0.0000 0.5000
I2 0.0522 0.3407 0.2603
I3 0.1694 0.2597 0.7645
I4 0.1746 0.5413 0.4209
I5 0.2437 0.5822 0.1631
I6 0.2932 0.2638 0.6079
I7 0.3391 0.5805 0.9075
I8 0.4409 0.8154 0.0670
F1 0.0258 0.1607 0.9300
F2 0.0823 0.8740 0.9119
F3 0.2234 0.1261 0.0567
F4 0.2635 0.0463 0.2833
F5 0.2947 0.7526 0.5874
F6 0.4042 0.2559 0.4437
F7 0.4288 0.9606 0.7469
F8 0.4365 0.9563 0.3979
F9 0.4669 0.6642 0.7017

Main lines, by intensity (2θ = 10–80°):
2θ 20.60, intensity 100, hkl 2 -1 0; 2θ 21.75, intensity 86, hkl 1 -2 2; 2θ 21.51, intensity 71, hkl 2 -1 1; 2θ 19.52, intensity 49, hkl 1 1 -2; 2θ 39.48, intensity 28, hkl 1 3 0; 2θ 24.78, intensity 27, hkl 2 -2 1; 2θ 27.06, intensity 23, hkl 1 0 4; 2θ 42.09, intensity 21, hkl 1 -4 0; 2θ 36.22, intensity 20, hkl 0 3 -4; 2θ 22.42, intensity 19, hkl -1 2 1

Entry 7:
# GaPt3
Calculated powder diffraction line list, Cu Kα. Input: DFT lattice parameters and positions (GGA-PBE).
Neutral-atom scattering factors, no anomalous dispersion.

Crystal structure
Lattice parameters (Å, degrees): 5.5858 5.5858 3.9376 90.00 90.00 90.00
Space group P4/mbm (No. 127)
Inequivalent atoms, fractional coordinates:
Ga1 0.0000 0.5000 0.0000
Pt1 0.0000 0.0000 0.0000
Pt2 0.2375 0.2625 0.5000

Main lines, by intensity (2θ = 10–80°):
2θ 39.56, intensity 100, hkl 2 0 1; 2θ 45.95, intensity 32, hkl 2 2 0; 2θ 67.13, intensity 21, hkl 2 2 2; 2θ 46.10, intensity 16, hkl 0 0 2; 2θ 67.02, intensity 10, hkl 4 0 0; 2θ 22.53, intensity 10, hkl 0 0 1; 2θ 32.08, intensity 9, hkl 1 1 1; 2θ 57.19, intensity 3, hkl 2 0 2; 2θ 51.77, intensity 3, hkl 3 1 0; 2θ 51.89, intensity 2, hkl 1 1 2